LiCaZn2: computed X-ray diffraction stick pattern (Cu Kα X-rays), based on a crystal structure in Alexandria, relaxed with PBE.

Peak list (10 most intense, 10 to 90 degrees two-theta, most intense first)
two_theta, I/Imax
36.57, 100
65.83, 32
25.63, 32
52.68, 17
89.10, 14
59.48, 12
22.15, 10
77.73, 10
45.19, 9
83.44, 5

Crystal structure
Cell: 6.950 6.950 6.950 Å, 90.00 90.00 90.00°
Sites, in units of the cell vectors:
1 Li 0.000 0.000 0.000
2 Li 0.000 0.500 0.500
3 Li 0.500 0.000 0.500
4 Li 0.500 0.500 0.000
5 Ca 0.000 0.000 0.500
6 Ca 0.000 0.500 0.000
7 Ca 0.500 0.000 0.000
8 Ca 0.500 0.500 0.500
9 Zn 0.250 0.250 0.250
10 Zn 0.250 0.250 0.750
11 Zn 0.250 0.750 0.250
12 Zn 0.250 0.750 0.750
13 Zn 0.750 0.250 0.250
14 Zn 0.750 0.250 0.750
15 Zn 0.750 0.750 0.250
16 Zn 0.750 0.750 0.750

---

Cs3AcCl7: computed X-ray diffraction stick pattern (Cu Kα X-rays), based on a crystal structure in Alexandria, relaxed with PBE.

Peak list (10 most intense, 10 to 90 degrees two-theta, most intense first)
two_theta, I/Imax
20.57, 100
20.17, 50
19.51, 48
21.13, 45
34.42, 38
29.04, 36
36.25, 35
31.05, 30
12.40, 30
35.21, 28

Crystal structure
Cell: 8.429 8.429 8.818 Å, 119.43 119.43 86.24°
Sites, in units of the cell vectors:
1 Cs 0.000 0.000 0.000
2 Cs 0.280 0.736 0.558
3 Cs 0.736 0.280 0.558
4 Ac 0.560 0.560 0.116
5 Cl 0.185 0.554 0.803
6 Cl 0.373 0.373 0.206
7 Cl 0.376 0.864 0.276
8 Cl 0.554 0.185 0.803
9 Cl 0.685 0.685 0.930
10 Cl 0.863 0.863 0.507
11 Cl 0.864 0.376 0.276

---

Na2MnTeSe4: computed X-ray diffraction stick pattern (Cu Kα X-rays), based on a crystal structure in Alexandria, relaxed with PBE.

Peak list (10 most intense, 10 to 90 degrees two-theta, most intense first)
two_theta, I/Imax
30.88, 100
44.14, 71
30.75, 51
13.35, 35
55.40, 18
44.89, 18
43.56, 17
54.27, 17
13.09, 14
72.80, 14

Crystal structure
Cell: 8.209 8.209 8.209 Å, 121.06 119.18 89.80°
Sites, in units of the cell vectors:
1 Na 0.000 0.000 0.000
2 Na 0.500 0.000 0.000
3 Na 0.500 0.000 0.500
4 Na 0.500 0.500 0.500
5 Mn 0.000 0.000 0.500
6 Mn 0.000 0.500 0.000
7 Te 0.000 0.500 0.500
8 Te 0.500 0.500 0.000
9 Se 0.213 0.743 0.470
10 Se 0.228 0.257 0.970
11 Se 0.240 0.251 0.511
12 Se 0.240 0.729 0.989
13 Se 0.760 0.271 0.011
14 Se 0.760 0.749 0.489
15 Se 0.772 0.743 0.030
16 Se 0.787 0.257 0.530

---

Dy6SiS4: computed X-ray diffraction stick pattern (Cu Kα X-rays), based on a crystal structure in Alexandria, relaxed with PBE.

Peak list (10 most intense, 10 to 90 degrees two-theta, most intense first)
two_theta, I/Imax
30.52, 100
32.27, 78
27.27, 53
31.28, 50
56.29, 49
29.82, 40
28.36, 34
33.87, 32
46.06, 30
48.34, 25

Crystal structure
Cell: 6.672 6.672 19.783 Å, 90.00 90.00 145.64°
Sites, in units of the cell vectors:
1 Dy 0.000 0.000 0.000
2 Dy 0.000 0.000 0.500
3 Dy 0.171 0.829 0.750
4 Dy 0.273 0.727 0.087
5 Dy 0.273 0.727 0.413
6 Dy 0.448 0.552 0.665
7 Dy 0.448 0.552 0.835
8 Dy 0.552 0.448 0.165
9 Dy 0.552 0.448 0.335
10 Dy 0.727 0.273 0.587
11 Dy 0.727 0.273 0.913
12 Dy 0.829 0.171 0.250
13 Si 0.166 0.834 0.250
14 Si 0.834 0.166 0.750
15 S 0.089 0.911 0.625
16 S 0.089 0.911 0.875
17 S 0.362 0.638 0.540
18 S 0.362 0.638 0.960
19 S 0.638 0.362 0.040
20 S 0.638 0.362 0.460
21 S 0.911 0.089 0.125
22 S 0.911 0.089 0.375